The following is a calculated powder XRD pattern of Ce6GaO12. It was derived from DFT lattice parameters and positions (GGA-PBE), using a wavelength of 1.5418 Å.
Neutral-atom scattering factors, no anomalous dispersion.

Most intense lines, 10 to 80 degrees two-theta, low angle first:
two_theta	Rel. int.	hkl
17.57	10	1 1 0
28.14	35	0 0 3
28.60	100	2 1 1
33.01	42	3 -2 2
47.08	33	2 1 4
47.67	30	1 4 0
55.75	15	3 -2 5
56.28	26	5 -1 3
56.54	13	6 -4 1
59.21	9	4 2 2

a b c (Å): 10.0943 10.0943 9.5131
angles (deg): 90.00 90.00 120.00
Space group R-3 (No. 148, hexagonal axes)
Inequivalent atoms, fractional coordinates:
Ce  0.0524  0.2596  0.1592 x18
Ga  0.0000  0.0000  0.5000 x3
O  0.0353  0.2241  0.9007 x18
O  0.0400  0.1971  0.3935 x18